The following is a theoretical X-ray diffraction stick pattern of Ac6NiIr3. It was derived from a structure optimized by DFT (PBE), using Cu Kα, 1.54184 Å.
Lines closer than 0.1° are merged.

Peak list (10 most intense, 10 to 90 degrees two-theta, low angle first)
2θ (°)  Rel. int.  index
13.71  30.5  1 0 -2
23.97  32.1  1 1 1
24.98  35.0  2 0 2
27.61  48.0  2 0 -4
28.64  73.4  4 0 -2
30.24  100.0  0 1 3
40.37  40.8  4 1 1
41.52  54.3  0 2 0
43.85  33.5  4 1 -5
51.25  47.8  4 0 4

Cell: 12.5382 4.3504 13.0677 Å, 90.00 112.36 90.00°
Space group P2_1/m (No. 11)
Asymmetric unit:
Ac 0.0528 0.2500 0.4048
Ac 0.0955 0.7500 0.9290
Ac 0.2386 0.2500 0.7620
Ac 0.2492 0.7500 0.2667
Ac 0.4049 0.2500 0.5632
Ac 0.4381 0.2500 0.1014
Ni 0.1917 0.7500 0.5652
Ir 0.0008 0.2500 0.7678
Ir 0.3326 0.7500 0.9343
Ir 0.4190 0.2500 0.3371